Diffraction record for HoNiTe2O8. The PXRD pattern is calculated, not measured: it uses a GGA+U-relaxed structure and Cu Kα, 1.54184 Å.
Lines closer than 0.1° are merged.

Atomic structure:
a = 5.993 Å, b = 5.993 Å, c = 6.068 Å
α = 90.00°, β = 90.00°, γ = 120.00°
Atoms (fractional coordinates):
Ho: 0.000 0.000 0.000
Ni: 0.000 0.000 0.500
Te: 0.333 0.667 0.659
Te: 0.667 0.333 0.341
O: 0.154 0.307 0.739
O: 0.154 0.846 0.739
O: 0.307 0.154 0.261
O: 0.333 0.667 0.361
O: 0.667 0.333 0.639
O: 0.693 0.846 0.739
O: 0.846 0.154 0.261
O: 0.846 0.693 0.261

Top 10 peaks for 2θ = 10–90°, by intensity:
2θ (°), Rel. int.
22.5, 100.0
29.8, 89.6
34.2, 51.3
46.0, 30.9
55.8, 29.4
48.8, 27.4
17.1, 19.8
54.8, 18.6
52.9, 17.4
61.9, 15.8